[1]
Starting from a structure optimized by DFT (PBE), the PXRD pattern of Er2TeO6 was calculated for copper Kα.
Peak positions follow from Bragg's law for the DFT cell and can differ from measured ones.

Top 8 peaks for 10 to 90 degrees two-theta, sorted by position:
- 2θ = 26.09°, intensity 100
- 2θ = 28.49°, intensity 40
- 2θ = 29.99°, intensity 16
- 2θ = 34.12°, intensity 37
- 2θ = 34.75°, intensity 30
- 2θ = 43.46°, intensity 13
- 2θ = 49.49°, intensity 44
- 2θ = 53.70°, intensity 23

```
27
Lattice="9.102 0.000 0.000 -4.551 7.883 0.000 0.000 0.000 5.166" Properties=species:S:1:pos:R:3 pbc="T T T"
Er -1.292 2.239 0.000
Er -2.825 4.894 2.583
Er 2.585 0.000 0.000
Er 1.726 2.989 2.583
Er 5.651 0.000 2.583
Er 3.259 5.644 0.000
Te 0.000 0.000 2.583
Te 0.000 5.255 5.160
Te 4.551 2.628 0.006
O -3.268 6.920 1.486
O 0.192 1.592 1.486
O -1.280 4.287 1.104
O 1.283 0.962 3.680
O -1.417 6.015 4.042
O 0.051 3.648 4.042
O -0.198 6.848 1.104
O 1.479 4.630 1.104
O 3.134 1.868 1.124
O 1.366 6.102 4.042
O 4.353 1.035 4.062
O 3.271 3.596 4.062
O 5.917 1.780 1.124
O 4.602 4.235 1.124
O 3.076 7.253 1.486
O 6.030 3.252 4.062
O 7.627 0.630 3.680
O 4.743 6.291 3.680
```

---

[2]
Starting from a structure optimized by DFT (PBE), the PXRD pattern of Sn4PSe6 was calculated for copper Kα.
Peak positions follow from Bragg's law for the DFT cell and can differ from measured ones.

Top 8 peaks for 10 to 90 degrees two-theta, sorted by position:
- 2θ = 21.09°, intensity 43
- 2θ = 21.41°, intensity 76
- 2θ = 27.49°, intensity 74
- 2θ = 30.86°, intensity 100
- 2θ = 31.54°, intensity 35
- 2θ = 33.35°, intensity 41
- 2θ = 34.20°, intensity 53
- 2θ = 44.13°, intensity 44

```
22
Lattice="8.544 -3.394 0.000 8.544 3.394 0.000 -6.692 0.000 11.091" Properties=species:S:1:pos:R:3 pbc="T T T"
Sn 4.439 2.072 1.996
Sn -1.914 1.053 8.752
Sn 5.198 3.020 5.546
Sn 1.432 -1.053 3.206
Sn 3.966 0.599 9.282
Sn 1.093 -2.072 7.541
Sn 7.312 -0.599 3.737
Sn 8.544 -3.020 0.000
P 0.627 1.182 6.210
P 3.973 -1.182 0.665
Se 0.875 1.601 8.447
Se 6.981 2.220 3.536
Se 5.803 0.153 0.286
Se 6.701 2.015 7.583
Se 2.457 -0.153 5.831
Se 9.276 1.183 0.544
Se 4.221 -1.601 2.901
Se 6.482 0.217 10.751
Se 5.930 -1.183 6.090
Se 9.828 -0.217 5.205
Se 3.635 -2.220 9.081
Se 10.047 -2.015 2.037
```

---

[3]
Starting from a structure optimized by DFT (PBE), the PXRD pattern of Pm2Ga2AgPd5 was calculated for copper Kα.
Peak positions follow from Bragg's law for the DFT cell and can differ from measured ones.

Top 8 peaks for 10 to 90 degrees two-theta, sorted by position:
- 2θ = 30.98°, intensity 27
- 2θ = 34.79°, intensity 31
- 2θ = 37.13°, intensity 100
- 2θ = 37.29°, intensity 53
- 2θ = 38.41°, intensity 16
- 2θ = 40.43°, intensity 39
- 2θ = 47.95°, intensity 25
- 2θ = 62.26°, intensity 23

```
20
Lattice="9.944 0.000 0.000 0.000 9.944 0.000 0.000 0.000 3.795" Properties=species:S:1:pos:R:3 pbc="T T T"
Pm 1.776 3.196 0.000
Pm 3.196 8.168 0.000
Pm 6.747 1.776 0.000
Pm 8.168 6.747 0.000
Ga 1.191 6.163 0.000
Ga 3.781 1.191 0.000
Ga 6.163 8.752 0.000
Ga 8.752 3.781 0.000
Ag 0.000 0.000 0.000
Ag 4.972 4.972 0.000
Pd 0.000 4.972 1.897
Pd 0.631 7.862 1.897
Pd 2.081 0.631 1.897
Pd 2.891 5.603 1.897
Pd 4.341 2.891 1.897
Pd 4.972 0.000 1.897
Pd 5.603 7.053 1.897
Pd 7.053 4.341 1.897
Pd 7.862 9.313 1.897
Pd 9.313 2.081 1.897
```

---

[4]
Starting from a structure optimized by DFT (PBE), the PXRD pattern of NaHoNb4N8 was calculated for copper Kα.
Peak positions follow from Bragg's law for the DFT cell and can differ from measured ones.

Top 8 peaks for 10 to 90 degrees two-theta, sorted by position:
- 2θ = 27.50°, intensity 91
- 2θ = 32.28°, intensity 56
- 2θ = 32.77°, intensity 92
- 2θ = 33.01°, intensity 100
- 2θ = 49.32°, intensity 34
- 2θ = 51.89°, intensity 30
- 2θ = 56.77°, intensity 42
- 2θ = 58.02°, intensity 41

```
14
Lattice="3.179 1.836 5.350 -3.179 1.836 5.350 0.000 -3.671 5.350" Properties=species:S:1:pos:R:3 pbc="T T T"
Na 0.000 0.000 0.000
Ho 0.000 0.000 6.142
Nb 0.000 -1.775 2.691
Nb -1.537 0.888 2.691
Nb 1.537 0.888 2.691
Nb 0.000 0.000 10.074
N 0.000 0.000 3.889
N 0.000 -2.018 7.028
N -1.748 1.009 7.028
N -1.539 -0.889 9.287
N 1.539 -0.889 9.287
N 0.000 1.777 9.287
N 0.000 0.000 12.286
N 1.748 1.009 7.028
```